CaHoMg2Cd2: theoretical X-ray diffraction stick pattern (CuKα), based on a crystal structure in Alexandria, relaxed with GGA-PBE.

Crystal structure
Unit cell a=5.047 b=5.047 c=7.099 alpha=90.00 beta=90.00 gamma=120.00
Fractional coordinates of all 6 atoms:
Ca: 0.000 0.000 0.000
Ho: 0.000 0.000 0.500
Mg: 0.333 0.667 0.729
Mg: 0.667 0.333 0.271
Cd: 0.333 0.667 0.277
Cd: 0.667 0.333 0.723

Largest 10 diffraction maxima, by angle, 2θ = 10–80°:
2θ (°)	I (rel.)
12.5	36
23.9	60
32.5	100
35.6	79
37.8	16
43.5	20
48.9	31
62.0	30
63.9	14
64.2	21